Cd5SbAu4: theoretical XRD peak list (a wavelength of 1.5418 Å), based on DFT lattice parameters and positions (PBE).
No peak broadening, texture or thermal motion is included.

Crystal structure
```
Cd5SbAu4
1.0
7.1396 -2.4233 0.0000
7.1396 2.4233 0.0000
-0.0800 0.0000 6.5636
Cd Sb Au
5 1 4
Direct
0.0000 0.0000 0.0000
0.3250 0.3250 0.0085
0.3274 0.3274 0.5000
0.6726 0.6726 0.5000
0.6750 0.6750 0.9915
0.0000 0.0000 0.5000
0.1684 0.1684 0.7476
0.4918 0.4918 0.7605
0.5082 0.5082 0.2395
0.8316 0.8316 0.2524
```

Top 10 peaks for 10° ≤ 2θ ≤ 90°, by angle:
2θ/deg	Rel. int.
23.6	39.1
37.1	54.8
37.8	49.5
38.0	99.2
38.3	100.0
54.0	34.9
56.0	16.5
67.4	18.0
67.7	18.5
69.1	24.9


Dy4TeOs: theoretical XRD peak list (a wavelength of 1.5418 Å), based on DFT lattice parameters and positions (PBE).
No peak broadening, texture or thermal motion is included.

Crystal structure
```
Dy4TeOs
1.0
4.6382 -7.1974 0.0000
4.6382 7.1974 0.0000
-3.9630 0.0000 5.5534
Dy Te Os
8 2 2
Direct
0.0594 0.6278 0.8504
0.1645 0.2472 0.7308
0.2472 0.1645 0.2308
0.3722 0.9406 0.6496
0.6278 0.0594 0.3504
0.7528 0.8355 0.7692
0.8355 0.7528 0.2692
0.9406 0.3722 0.1496
0.3865 0.6135 0.2500
0.6135 0.3865 0.7500
0.0900 0.9100 0.7500
0.9100 0.0900 0.2500
```

Top 10 peaks for 10° ≤ 2θ ≤ 90°, by angle:
2θ/deg	Rel. int.
13.2	65.1
20.2	43.5
22.9	56.9
25.6	32.9
31.6	100.0
32.2	60.2
34.4	40.7
34.8	40.0
36.6	59.5
53.5	34.5


BaRe2Tc: theoretical XRD peak list (a wavelength of 1.5418 Å), based on DFT lattice parameters and positions (PBE).
No peak broadening, texture or thermal motion is included.

Crystal structure
```
BaRe2Tc
1.0
3.2635 0.0000 0.0000
0.0000 3.2635 0.0000
0.0000 0.0000 7.9708
Ba Re Tc
1 2 1
Direct
0.0000 0.0000 0.0000
0.5000 0.5000 0.3403
0.5000 0.5000 0.6597
0.0000 0.0000 0.5000
```

Top 10 peaks for 10° ≤ 2θ ≤ 90°, by angle:
2θ/deg	Rel. int.
11.1	72.1
29.6	56.0
33.7	29.8
35.6	100.0
39.0	92.6
43.9	41.4
52.5	34.6
53.9	44.2
56.4	31.8
68.5	29.4


TiCuPtAu: theoretical XRD peak list (a wavelength of 1.5418 Å), based on DFT lattice parameters and positions (PBE).
No peak broadening, texture or thermal motion is included.

Crystal structure
```
TiCuPtAu
1.0
-1.9832 1.9832 3.8669
1.9832 -1.9832 3.8669
1.9832 1.9832 -3.8669
Ti Cu Pt Au
1 1 1 1
Direct
0.0000 0.0000 0.0000
0.5000 0.5000 0.0000
0.2500 0.7500 0.5000
0.7500 0.2500 0.5000
```

Top 10 peaks for 10° ≤ 2θ ≤ 90°, by angle:
2θ/deg	Rel. int.
23.0	28.6
31.9	25.9
39.7	100.0
45.8	33.3
47.0	15.4
51.8	14.2
67.7	20.5
80.5	25.4
82.3	12.0
85.5	11.1


PrMg6Tl6: theoretical XRD peak list (a wavelength of 1.5418 Å), based on DFT lattice parameters and positions (PBE).
No peak broadening, texture or thermal motion is included.

Crystal structure
```
PrMg6Tl6
1.0
-3.0943 4.9262 5.4247
3.0943 -4.9262 5.4247
3.0943 4.9262 -5.4247
Pr Mg Tl
1 6 6
Direct
0.0000 0.0000 0.0000
0.0000 0.0000 0.5000
0.0000 0.5000 0.0000
0.2439 0.5000 0.7439
0.5000 0.0000 0.0000
0.5000 0.5000 0.5000
0.7561 0.5000 0.2561
0.1664 0.6664 0.5000
0.3384 0.3384 0.0000
0.3432 0.0000 0.3432
0.6568 0.0000 0.6568
0.6616 0.6616 0.0000
0.8336 0.3336 0.5000
```

Top 10 peaks for 10° ≤ 2θ ≤ 90°, by angle:
2θ/deg	Rel. int.
18.0	35.5
24.5	24.2
28.6	100.0
28.9	49.0
34.0	54.0
34.2	26.6
35.1	22.5
40.3	25.4
51.0	20.8
64.1	23.4


CaDyF6: theoretical XRD peak list (a wavelength of 1.5418 Å), based on DFT lattice parameters and positions (PBE).
No peak broadening, texture or thermal motion is included.

Crystal structure
```
CaDyF6
1.0
5.4489 0.0000 0.0000
0.0000 5.4489 0.0000
0.0000 0.0000 7.9449
Ca Dy F
2 2 12
Direct
0.0000 0.0000 0.0000
0.0000 0.0000 0.5000
0.5000 0.5000 0.2500
0.5000 0.5000 0.7500
0.2133 0.2374 0.1765
0.2133 0.2374 0.8235
0.2374 0.7867 0.3235
0.2374 0.7867 0.6765
0.3200 0.3313 0.5000
0.3313 0.6800 0.0000
0.6687 0.3200 0.0000
0.6800 0.6687 0.5000
0.7626 0.2133 0.3235
0.7626 0.2133 0.6765
0.7867 0.7626 0.1765
0.7867 0.7626 0.8235
```

Top 10 peaks for 10° ≤ 2θ ≤ 90°, by angle:
2θ/deg	Rel. int.
16.3	72.4
22.4	18.3
23.1	100.0
27.8	85.8
32.4	22.3
36.9	18.8
43.6	77.8
47.2	25.0
51.8	21.2
55.6	25.1


ErAl3C3: theoretical XRD peak list (a wavelength of 1.5418 Å), based on DFT lattice parameters and positions (PBE).
No peak broadening, texture or thermal motion is included.

Crystal structure
```
ErAl3C3
1.0
3.4225 0.0000 0.0000
-1.7112 2.9640 0.0000
0.0000 0.0000 17.2432
Er Al C
2 6 6
Direct
0.0000 0.0000 0.0000
0.0000 0.0000 0.5000
0.3333 0.6667 0.1329
0.3333 0.6667 0.3671
0.3333 0.6667 0.7500
0.6667 0.3333 0.2500
0.6667 0.3333 0.6329
0.6667 0.3333 0.8671
0.3333 0.6667 0.2500
0.3333 0.6667 0.5919
0.3333 0.6667 0.9081
0.6667 0.3333 0.0919
0.6667 0.3333 0.4081
0.6667 0.3333 0.7500
```

Top 10 peaks for 10° ≤ 2θ ≤ 90°, by angle:
2θ/deg	Rel. int.
10.3	100.0
20.6	23.9
30.2	18.1
31.9	90.8
36.8	60.3
41.9	13.4
43.9	38.8
53.6	23.3
62.3	14.3
70.2	17.2


Ba3CoC3N3: theoretical XRD peak list (a wavelength of 1.5418 Å), based on DFT lattice parameters and positions (PBE).
No peak broadening, texture or thermal motion is included.

Crystal structure
```
Ba3CoC3N3
1.0
9.1426 0.0000 0.0000
-4.5713 7.9177 0.0000
0.0000 0.0000 5.8344
Ba Co C N
6 2 6 6
Direct
0.0694 0.3786 0.2500
0.3092 0.9306 0.2500
0.3786 0.3092 0.7500
0.6214 0.6908 0.2500
0.6908 0.0694 0.7500
0.9306 0.6214 0.7500
0.3333 0.6667 0.7500
0.6667 0.3333 0.2500
0.1554 0.4605 0.7500
0.3051 0.8446 0.7500
0.4605 0.3051 0.2500
0.5395 0.6949 0.7500
0.6949 0.1554 0.2500
0.8446 0.5395 0.2500
0.0315 0.3150 0.7500
0.2835 0.9685 0.7500
0.3150 0.2835 0.2500
0.6850 0.7165 0.7500
0.7165 0.0315 0.2500
0.9685 0.6850 0.2500
```

Top 10 peaks for 10° ≤ 2θ ≤ 90°, by angle:
2θ/deg	Rel. int.
19.4	23.4
24.7	100.0
27.2	41.6
29.9	53.4
30.6	45.8
33.7	19.9
34.0	38.6
43.3	36.6
46.4	31.0
52.8	28.2


PdC2N2: theoretical XRD peak list (a wavelength of 1.5418 Å), based on DFT lattice parameters and positions (PBE).
No peak broadening, texture or thermal motion is included.

Crystal structure
```
PdC2N2
1.0
3.6047 -3.6539 0.0000
3.6047 3.6539 0.0000
0.0000 0.0000 15.7497
Pd C N
4 8 8
Direct
0.1124 0.8876 0.8789
0.3876 0.6124 0.3789
0.6124 0.3876 0.6211
0.8876 0.1124 0.1211
0.0099 0.6176 0.3787
0.1176 0.5099 0.8787
0.3824 0.9901 0.3787
0.4901 0.8824 0.8787
0.5099 0.1176 0.1213
0.6176 0.0099 0.6213
0.8824 0.4901 0.1213
0.9901 0.3824 0.6213
0.1174 0.2827 0.8786
0.2173 0.3826 0.6214
0.2827 0.1174 0.1214
0.3826 0.2173 0.3786
0.6174 0.7827 0.6214
0.7173 0.8826 0.8786
0.7827 0.6174 0.3786
0.8826 0.7173 0.1214
```

Top 10 peaks for 10° ≤ 2θ ≤ 90°, by angle:
2θ/deg	Rel. int.
18.2	97.2
20.7	100.0
22.6	95.4
24.3	39.3
33.4	25.2
35.4	38.6
38.5	18.7
39.1	34.7
40.7	19.4
54.9	17.3


CaAlSiOs: theoretical XRD peak list (a wavelength of 1.5418 Å), based on DFT lattice parameters and positions (PBE).
No peak broadening, texture or thermal motion is included.

Crystal structure
```
CaAlSiOs
1.0
2.1133 1.2201 5.3807
-2.1133 1.2201 5.3807
0.0000 -2.4402 5.3807
Ca Al Si Os
1 1 1 1
Direct
0.0000 0.0000 0.0000
0.4622 0.4622 0.4622
0.1913 0.1913 0.1913
0.8185 0.8185 0.8185
```

Top 10 peaks for 10° ≤ 2θ ≤ 90°, by angle:
2θ/deg	Rel. int.
16.5	100.0
24.9	89.1
26.7	60.7
33.0	28.2
33.3	29.2
37.1	66.4
42.8	59.0
46.1	44.1
55.3	40.9
68.9	22.5